Diffraction record for Th6As5S. The X-ray powder pattern is simulated, not measured: it uses a cell relaxed with GGA-PBE and Cu Kα (weighted mean of Kα1 and Kα2).

Top 10 peaks for 2θ = 5–70°, by angle:
2θ = 25.86°, I = 51.1; 2θ = 29.94°, I = 100.0; 2θ = 42.86°, I = 76.1; 2θ = 50.70°, I = 11.0; 2θ = 50.76°, I = 15.3; 2θ = 53.13°, I = 20.4; 2θ = 53.26°, I = 6.7; 2θ = 62.22°, I = 12.7; 2θ = 68.49°, I = 7.4; 2θ = 68.62°, I = 3.6

Cell and atoms:
a = 7.3116 Å, b = 7.3116 Å, c = 7.3158 Å
α = 99.62°, β = 99.62°, γ = 120.10°
Fractional positions:
1 Th 0.0816 0.4096 0.7457
2 Th 0.2451 0.2451 0.2524
3 Th 0.4096 0.0816 0.7457
4 Th 0.5904 0.9184 0.2543
5 Th 0.7549 0.7549 0.7476
6 Th 0.9184 0.5904 0.2543
7 As 0.1697 0.8303 0.0000
8 As 0.3339 0.6661 0.5000
9 As 0.5000 0.5000 0.0000
10 As 0.6661 0.3339 0.5000
11 As 0.8303 0.1697 0.0000
12 S 0.0000 0.0000 0.5000



Diffraction record for Th8AsS6. The X-ray powder pattern is simulated, not measured: it uses a cell relaxed with GGA-PBE and Cu Kα (weighted mean of Kα1 and Kα2).

Top 12 peaks for 2θ = 5–70°, by angle:
2θ = 19.94°, I = 16.0; 2θ = 27.54°, I = 100.0; 2θ = 29.34°, I = 49.9; 2θ = 30.10°, I = 93.4; 2θ = 34.23°, I = 45.6; 2θ = 36.37°, I = 22.3; 2θ = 41.25°, I = 34.6; 2θ = 43.40°, I = 18.5; 2θ = 49.69°, I = 37.2; 2θ = 51.90°, I = 12.4; 2θ = 53.72°, I = 31.0; 2θ = 56.15°, I = 19.4

Cell and atoms:
a = 10.2848 Å, b = 10.2848 Å, c = 4.1700 Å
α = 90.00°, β = 90.00°, γ = 120.00°
Fractional positions:
1 Th 0.0360 0.7166 0.2582
2 Th 0.2834 0.3194 0.2582
3 Th 0.3194 0.0360 0.7418
4 Th 0.3333 0.6667 0.7471
5 Th 0.6667 0.3333 0.2529
6 Th 0.6806 0.9640 0.2582
7 Th 0.7166 0.6806 0.7418
8 Th 0.9640 0.2834 0.7418
9 As 0.0000 0.0000 0.5000
10 S 0.1272 0.4877 0.2468
11 S 0.3605 0.8728 0.2468
12 S 0.4877 0.3605 0.7532
13 S 0.5123 0.6395 0.2468
14 S 0.6395 0.1272 0.7532
15 S 0.8728 0.5123 0.7532



Diffraction record for Th3As3S. The X-ray powder pattern is simulated, not measured: it uses a cell relaxed with GGA-PBE and Cu Kα (weighted mean of Kα1 and Kα2).

Top 12 peaks for 2θ = 5–70°, by angle:
2θ = 15.04°, I = 19.3; 2θ = 21.34°, I = 38.1; 2θ = 26.21°, I = 34.7; 2θ = 30.36°, I = 100.0; 2θ = 34.04°, I = 10.8; 2θ = 37.41°, I = 18.9; 2θ = 43.47°, I = 75.7; 2θ = 48.91°, I = 9.0; 2θ = 51.47°, I = 18.3; 2θ = 53.94°, I = 26.9; 2θ = 58.66°, I = 10.6; 2θ = 63.16°, I = 12.6

Cell and atoms:
a = 5.8888 Å, b = 5.8888 Å, c = 5.8888 Å
α = 90.00°, β = 90.00°, γ = 90.00°
Fractional positions:
1 Th 0.0000 0.0000 0.5000
2 Th 0.0000 0.5000 0.0000
3 Th 0.5000 0.0000 0.0000
4 As 0.0000 0.5000 0.5000
5 As 0.5000 0.0000 0.5000
6 As 0.5000 0.5000 0.0000
7 S 0.0000 0.0000 0.0000